[1]
For LiNbGa, a structure optimized by DFT (PBE) gives the computed powder X-ray diffraction pattern in this record (Cu Kα).

Structural model:
Cell lengths 6.895, 6.446, 4.346 Å; angles 76.69, 65.48, 37.84 degrees
Element x y z (fractional)
Li1 0.172 0.828 0.172
Li2 0.828 0.172 0.828
Nb1 0.250 0.250 0.250
Nb2 0.750 0.750 0.750
Ga1 0.392 0.392 0.608
Ga2 0.608 0.608 0.392

Top 10 peaks for 10 to 80 degrees two-theta, most intense first:
2θ = 14.95°, d = 5.925 Å, rel. 100
2θ = 39.74°, d = 2.268 Å, rel. 83
2θ = 29.48°, d = 3.030 Å, rel. 82
2θ = 22.84°, d = 3.893 Å, rel. 78
2θ = 43.93°, d = 2.061 Å, rel. 63
2θ = 47.13°, d = 1.928 Å, rel. 46
2θ = 38.57°, d = 2.334 Å, rel. 45
2θ = 65.45°, d = 1.426 Å, rel. 27
2θ = 72.66°, d = 1.301 Å, rel. 26
2θ = 46.66°, d = 1.947 Å, rel. 26

[2]
For CrReCl2, a structure optimized by DFT (PBE) gives the computed powder X-ray diffraction pattern in this record (Cu Kα).

Structural model:
Cell lengths 2.875, 3.186, 8.727 Å; angles 90.00, 90.00, 90.00 degrees
Element x y z (fractional)
Cr1 0.000 0.000 0.000
Re1 0.500 0.500 0.160
Cl1 0.000 0.500 0.380
Cl2 0.500 0.000 0.797

Top 10 peaks for 10 to 80 degrees two-theta, most intense first:
2θ = 10.14°, d = 8.727 Å, rel. 100
2θ = 29.85°, d = 2.993 Å, rel. 20
2θ = 43.66°, d = 2.073 Å, rel. 17
2θ = 37.46°, d = 2.401 Å, rel. 14
2θ = 44.30°, d = 2.045 Å, rel. 12
2θ = 47.42°, d = 1.917 Å, rel. 11
2θ = 34.87°, d = 2.573 Å, rel. 9
2θ = 50.71°, d = 1.800 Å, rel. 8
2θ = 20.35°, d = 4.364 Å, rel. 7
2θ = 42.06°, d = 2.148 Å, rel. 6

Repeat the first record exactly.
For LiNbGa, a structure optimized by DFT (PBE) gives the computed powder X-ray diffraction pattern in this record (Cu Kα).

Structural model:
Cell lengths 6.895, 6.446, 4.346 Å; angles 76.69, 65.48, 37.84 degrees
Element x y z (fractional)
Li1 0.172 0.828 0.172
Li2 0.828 0.172 0.828
Nb1 0.250 0.250 0.250
Nb2 0.750 0.750 0.750
Ga1 0.392 0.392 0.608
Ga2 0.608 0.608 0.392

Top 10 peaks for 10 to 80 degrees two-theta, most intense first:
2θ = 14.95°, d = 5.925 Å, rel. 100
2θ = 39.74°, d = 2.268 Å, rel. 83
2θ = 29.48°, d = 3.030 Å, rel. 82
2θ = 22.84°, d = 3.893 Å, rel. 78
2θ = 43.93°, d = 2.061 Å, rel. 63
2θ = 47.13°, d = 1.928 Å, rel. 46
2θ = 38.57°, d = 2.334 Å, rel. 45
2θ = 65.45°, d = 1.426 Å, rel. 27
2θ = 72.66°, d = 1.301 Å, rel. 26
2θ = 46.66°, d = 1.947 Å, rel. 26

Which formula does entry 2 have?
CrReCl2